(1)
For PmNd3Y8, a cell relaxed with PBE gives the computed X-ray powder pattern in this record (a wavelength of 1.5418 Å).
Intensities are scaled so that the largest is 1000.

Crystal structure
Lattice parameters (Å, degrees): 8.4431 8.4431 8.4431 117.40 117.40 94.57
Positions (direct):
Pm 0.0000 0.0000 0.0000
Nd 0.2500 0.7500 0.5000
Nd 0.5000 0.5000 0.0000
Nd 0.7500 0.2500 0.5000
Y 0.1226 0.1226 0.7486
Y 0.2438 0.2438 0.4960
Y 0.2522 0.7562 0.0000
Y 0.3740 0.3740 0.2514
Y 0.6260 0.8774 0.0000
Y 0.7478 0.7478 0.5040
Y 0.7562 0.2522 0.0000
Y 0.8774 0.6260 0.0000

Main lines, low angle first (2θ = 10–90°):
d/Å, intensity
4.208, 528
3.712, 335
3.482, 272
3.102, 693
2.864, 535
2.497, 1000
2.104, 459
2.049, 310
1.648, 276
1.573, 241

***

(2)
For ZrTi2H4, a cell relaxed with PBE gives the computed X-ray powder pattern in this record (a wavelength of 1.5418 Å).
Intensities are scaled so that the largest is 1000.

Crystal structure
Lattice parameters (Å, degrees): 5.6985 5.6985 5.6985 120.81 120.81 88.60
Positions (direct):
Zr 0.3750 0.1250 0.2500
Zr 0.6250 0.8750 0.7500
Ti 0.0000 0.0000 0.5000
Ti 0.0000 0.5000 0.0000
Ti 0.0000 0.5000 0.5000
Ti 0.5000 0.5000 0.0000
H 0.0054 0.7640 0.8917
H 0.2640 0.8723 0.7586
H 0.3723 0.1137 0.6083
H 0.3863 0.4946 0.2586
H 0.6137 0.5054 0.7414
H 0.6277 0.8863 0.3917
H 0.7360 0.1277 0.2414
H 0.9946 0.2360 0.1083

Main lines, low angle first (2θ = 10–90°):
d/Å, intensity
2.848, 545
2.814, 246
2.448, 518
2.405, 1000
2.316, 314
1.631, 205
1.567, 126
1.544, 122
1.533, 232
1.424, 240

***

(3)
For RbCaNd, a cell relaxed with PBE gives the computed X-ray powder pattern in this record (a wavelength of 1.5418 Å).
Intensities are scaled so that the largest is 1000.

Crystal structure
Lattice parameters (Å, degrees): 21.3075 3.8888 3.8888 59.99 90.00 90.00
Positions (direct):
Rb 0.1824 0.0000 0.0000
Rb 0.8176 0.0000 0.0000
Ca 0.0000 0.3232 0.3232
Ca 0.5000 0.0033 0.0033
Nd 0.3591 0.3365 0.3365
Nd 0.6409 0.3365 0.3365

Main lines, low angle first (2θ = 10–90°):
d/Å, intensity
3.551, 183
3.368, 262
3.326, 145
3.043, 1000
2.847, 217
2.089, 170
1.944, 192
1.705, 127
1.638, 227
1.253, 143